For Li2Mg3Hg4, a structure optimized by DFT (PBE) gives the computed XRD peak list in this record (a wavelength of 1.5418 Å).
Peak positions follow from Bragg's law for the DFT cell and can differ from measured ones.

Cell and atoms:
a = 4.7652 Å, b = 4.7676 Å, c = 9.2545 Å
α = 88.25°, β = 88.31°, γ = 61.70°
Space group P-1 (No. 2)
Unique sites:
Li 0.1632 0.1605 0.2158 (multiplicity 2)
Mg 0.1709 0.1720 0.5762 (multiplicity 2)
Mg 0.5000 0.5000 0.0000 (multiplicity 1)
Hg 0.1682 0.1695 0.8954 (multiplicity 2)
Hg 0.4910 0.4886 0.3282 (multiplicity 2)

The 10 most intense peaks (10 to 80 degrees two-theta), in order of falling intensity:
hkl  d_spacing  2θ/deg  I_rel
1 0 1  3.847  23.1  100
1 0 -3  2.463  36.5  100
2 1 0  2.381  37.8  90
0 1 2  3.136  28.5  80
1 1 -1  3.693  24.1  58
1 1 3  2.504  35.9  53
1 -1 0  2.444  36.8  49
2 0 3  1.749  52.3  35
1 1 -2  3.012  29.7  28
2 2 2  1.897  48.0  27